[1]
Structure and computed powder XRD pattern of SmClO2 (a PBE-relaxed structure; CuKα).

Atomic structure:
Cell: 6.146 3.608 6.811 Å, 90.00 106.30 90.00°
Sites, in units of the cell vectors:
Sm 0.143 0.250 0.324
Sm 0.857 0.750 0.676
Cl 0.254 0.750 0.035
Cl 0.746 0.250 0.965
O 0.068 0.250 0.643
O 0.462 0.750 0.519
O 0.538 0.250 0.481
O 0.932 0.750 0.357

Largest 8 diffraction maxima, low angle first, 10 to 90 degrees two-theta:
d = 6.537 Å, 2θ = 13.55°, intensity 44; d = 5.899 Å, 2θ = 15.02°, intensity 86; d = 3.872 Å, 2θ = 22.97°, intensity 78; d = 3.274 Å, 2θ = 27.23°, intensity 59; d = 3.159 Å, 2θ = 28.25°, intensity 60; d = 2.957 Å, 2θ = 30.23°, intensity 100; d = 2.423 Å, 2θ = 37.11°, intensity 40; d = 2.284 Å, 2θ = 39.46°, intensity 53

[2]
Structure and computed powder XRD pattern of Li2BeH4 (a PBE-relaxed structure; CuKα).

Atomic structure:
Cell: 4.960 6.615 12.354 Å, 81.32 86.86 89.89°
Sites, in units of the cell vectors:
Li 0.000 0.000 0.000
Li 0.004 0.984 0.735
Li 0.269 0.783 0.551
Li 0.438 0.644 0.757
Li 0.475 0.433 0.248
Li 0.487 0.271 0.035
Li 0.506 0.212 0.671
Li 0.525 0.696 0.050
Li 0.576 0.961 0.226
Li 0.953 0.227 0.462
Li 0.959 0.474 0.077
Li 0.987 0.401 0.684
Be 0.002 0.478 0.294
Be 0.047 0.934 0.341
Be 0.095 0.770 0.199
Be 0.102 0.108 0.198
Be 0.844 0.319 0.864
Be 0.898 0.669 0.873
H 0.018 0.919 0.456
H 0.075 0.222 0.812
H 0.151 0.750 0.826
H 0.207 0.420 0.369
H 0.279 0.082 0.294
H 0.298 0.475 0.937
H 0.306 0.523 0.631
H 0.321 0.896 0.920
H 0.342 0.950 0.653
H 0.391 0.963 0.956
H 0.456 0.130 0.503
H 0.457 0.499 0.936
H 0.462 0.219 0.456
H 0.479 0.696 0.414
H 0.584 0.761 0.435
H 0.613 0.440 0.114
H 0.662 0.366 0.774
H 0.712 0.795 0.806
H 0.724 0.165 0.946
H 0.752 0.408 0.349
H 0.866 0.201 0.611
H 0.872 0.095 0.288
H 0.878 0.727 0.985
H 0.981 0.714 0.312

Largest 8 diffraction maxima, low angle first, 10 to 90 degrees two-theta:
d = 6.097 Å, 2θ = 14.53°, intensity 100; d = 4.953 Å, 2θ = 17.91°, intensity 75; d = 4.503 Å, 2θ = 19.72°, intensity 43; d = 3.953 Å, 2θ = 22.49°, intensity 80; d = 2.476 Å, 2θ = 36.28°, intensity 67; d = 2.443 Å, 2θ = 36.79°, intensity 84; d = 2.378 Å, 2θ = 37.83°, intensity 51; d = 2.177 Å, 2θ = 41.48°, intensity 65

[3]
Structure and computed powder XRD pattern of S5I2O18 (a PBE-relaxed structure; CuKα).

Atomic structure:
Cell: 15.143 15.143 9.293 Å, 103.29 103.29 22.07°
Sites, in units of the cell vectors:
S 0.019 0.817 0.221
S 0.180 0.820 0.750
S 0.183 0.981 0.279
S 0.245 0.339 0.174
S 0.339 0.245 0.674
S 0.661 0.755 0.326
S 0.755 0.661 0.826
S 0.817 0.019 0.721
S 0.820 0.180 0.250
S 0.981 0.183 0.779
I 0.156 0.557 0.490
I 0.443 0.844 0.010
I 0.557 0.156 0.990
I 0.844 0.443 0.510
O 0.014 0.214 0.285
O 0.030 0.031 0.679
O 0.031 0.030 0.179
O 0.058 0.561 0.122
O 0.102 0.747 0.081
O 0.125 0.478 0.582
O 0.190 0.630 0.324
O 0.214 0.014 0.785
O 0.223 0.265 0.177
O 0.253 0.898 0.419
O 0.265 0.223 0.677
O 0.267 0.675 0.628
O 0.297 0.350 0.832
O 0.325 0.733 0.872
O 0.350 0.297 0.332
O 0.370 0.810 0.176
O 0.439 0.942 0.378
O 0.478 0.125 0.082
O 0.522 0.875 0.918
O 0.561 0.058 0.622
O 0.630 0.190 0.824
O 0.650 0.703 0.668
O 0.675 0.267 0.128
O 0.703 0.650 0.168
O 0.733 0.325 0.372
O 0.735 0.777 0.323
O 0.747 0.102 0.581
O 0.777 0.735 0.823
O 0.786 0.986 0.215
O 0.810 0.370 0.676
O 0.875 0.522 0.418
O 0.898 0.253 0.919
O 0.942 0.439 0.878
O 0.969 0.970 0.821
O 0.970 0.969 0.321
O 0.986 0.786 0.715

Largest 8 diffraction maxima, low angle first, 10 to 90 degrees two-theta:
d = 7.225 Å, 2θ = 12.25°, intensity 71; d = 4.967 Å, 2θ = 17.86°, intensity 83; d = 4.914 Å, 2θ = 18.05°, intensity 54; d = 4.714 Å, 2θ = 18.82°, intensity 78; d = 4.593 Å, 2θ = 19.33°, intensity 59; d = 3.516 Å, 2θ = 25.33°, intensity 100; d = 2.853 Å, 2θ = 31.35°, intensity 58; d = 2.745 Å, 2θ = 32.62°, intensity 49

[4]
Structure and computed powder XRD pattern of ClF3 (a PBE-relaxed structure; CuKα).

Atomic structure:
Cell: 9.209 6.272 4.699 Å, 90.00 90.00 90.00°
Sites, in units of the cell vectors:
Cl 0.156 0.250 0.126
Cl 0.344 0.750 0.626
Cl 0.656 0.250 0.374
Cl 0.844 0.750 0.874
F 0.044 0.250 0.396
F 0.152 0.529 0.136
F 0.152 0.971 0.136
F 0.348 0.029 0.636
F 0.348 0.471 0.636
F 0.456 0.750 0.896
F 0.544 0.250 0.104
F 0.652 0.529 0.364
F 0.652 0.971 0.364
F 0.848 0.029 0.864
F 0.848 0.471 0.864
F 0.956 0.750 0.604

Largest 8 diffraction maxima, low angle first, 10 to 90 degrees two-theta:
d = 3.761 Å, 2θ = 23.66°, intensity 45; d = 3.712 Å, 2θ = 23.98°, intensity 56; d = 3.289 Å, 2θ = 27.11°, intensity 100; d = 2.570 Å, 2θ = 34.91°, intensity 51; d = 2.276 Å, 2θ = 39.59°, intensity 30; d = 1.910 Å, 2θ = 47.61°, intensity 14; d = 1.904 Å, 2θ = 47.78°, intensity 19; d = 1.449 Å, 2θ = 64.26°, intensity 14

[5]
Structure and computed powder XRD pattern of Dy3Al (a PBE-relaxed structure; CuKα).

Atomic structure:
Cell: 4.755 4.755 4.755 Å, 90.00 90.00 90.00°
Sites, in units of the cell vectors:
Dy 0.000 0.000 0.500
Dy 0.000 0.500 0.000
Dy 0.500 0.000 0.000
Al 0.500 0.500 0.500

Largest 8 diffraction maxima, low angle first, 10 to 90 degrees two-theta:
d = 4.755 Å, 2θ = 18.66°, intensity 20; d = 3.363 Å, 2θ = 26.51°, intensity 17; d = 2.746 Å, 2θ = 32.61°, intensity 100; d = 2.378 Å, 2θ = 37.84°, intensity 50; d = 1.681 Å, 2θ = 54.58°, intensity 35; d = 1.434 Å, 2θ = 65.05°, intensity 41; d = 1.373 Å, 2θ = 68.33°, intensity 12; d = 1.091 Å, 2θ = 89.92°, intensity 18